Structure and computed powder X-ray diffraction pattern of Sr2BH (a structure optimized by DFT (PBE); Cu Kα).

Structure:
```
data_Sr2BH
_chemical_formula_sum 'Sr8 B4 H4'
_symmetry_space_group_name_H-M 'F m -3 m'
_symmetry_Int_Tables_number 225
_symmetry_space_group_name_Hall '-F 4 2 3'
_cell_length_a 6.981
_cell_length_b 6.981
_cell_length_c 6.981
_cell_angle_alpha 90.00
_cell_angle_beta 90.00
_cell_angle_gamma 90.00
loop_
_atom_site_label
_atom_site_fract_x
_atom_site_fract_y
_atom_site_fract_z
Sr1 0.250 0.250 0.250
B1 0.000 0.000 0.000
H1 0.000 0.000 0.500
```

The 8 most intense peaks (10 to 90 degrees two-theta), in order of rising 2θ:
two_theta	d (Å)	intensity
25.52	3.491	1000
36.40	2.468	991
44.98	2.015	294
52.43	1.745	168
59.19	1.561	392
65.50	1.425	341
82.99	1.164	191
88.60	1.104	156